[1]
The following is a simulated powder X-ray diffraction pattern of Hf2Mn. It was derived from the GGA-PBE geometry in the Materials Project, using Cu Kα (weighted mean of Kα1 and Kα2).
No peak broadening, texture or thermal motion is included.

Crystal structure
```
data_Hf2Mn
_symmetry_space_group_name_H-M 'P 1'
_symmetry_Int_Tables_number 1
_cell_length_a 8.4878
_cell_length_b 8.4878
_cell_length_c 8.4878
_cell_angle_alpha 60.00
_cell_angle_beta 60.00
_cell_angle_gamma 60.00
loop_
_symmetry_equiv_pos_as_xyz
'x,y,z'
loop_
_atom_site_label
_atom_site_type_symbol
_atom_site_fract_x
_atom_site_fract_y
_atom_site_fract_z
Hf1 Hf 0.0000 0.0000 0.0000
Hf2 Hf 0.0000 0.0000 0.5000
Hf3 Hf 0.0000 0.5000 0.0000
Hf4 Hf 0.1859 0.1859 0.5641
Hf5 Hf 0.1859 0.5641 0.1859
Hf6 Hf 0.1859 0.5641 0.5641
Hf7 Hf 0.4359 0.4359 0.8141
Hf8 Hf 0.4359 0.8141 0.4359
Hf9 Hf 0.4359 0.8141 0.8141
Hf10 Hf 0.5000 0.0000 0.0000
Hf11 Hf 0.5641 0.1859 0.1859
Hf12 Hf 0.5641 0.1859 0.5641
Hf13 Hf 0.5641 0.5641 0.1859
Hf14 Hf 0.8141 0.4359 0.4359
Hf15 Hf 0.8141 0.4359 0.8141
Hf16 Hf 0.8141 0.8141 0.4359
Mn1 Mn 0.1305 0.7898 0.7898
Mn2 Mn 0.2102 0.2102 0.2102
Mn3 Mn 0.2102 0.2102 0.8695
Mn4 Mn 0.2102 0.8695 0.2102
Mn5 Mn 0.7898 0.1305 0.7898
Mn6 Mn 0.7898 0.7898 0.1305
Mn7 Mn 0.7898 0.7898 0.7898
Mn8 Mn 0.8695 0.2102 0.2102
```

Peak list (10 most intense, 10° ≤ 2θ ≤ 90°, sorted by position)
- 2θ 32.51, I = 51.0
- 2θ 36.68, I = 48.5
- 2θ 38.99, I = 100.0
- 2θ 42.61, I = 37.3
- 2θ 50.43, I = 8.4
- 2θ 59.12, I = 8.2
- 2θ 63.43, I = 15.8
- 2θ 66.04, I = 42.1
- 2θ 67.59, I = 16.2
- 2θ 79.44, I = 18.1


[2]
The following is a simulated powder X-ray diffraction pattern of K2La2MgTi3O10. It was derived from the GGA-PBE geometry in the Materials Project, using Cu Kα (weighted mean of Kα1 and Kα2).
No peak broadening, texture or thermal motion is included.

Crystal structure
```
data_K2La2MgTi3O10
_symmetry_space_group_name_H-M 'P 1'
_symmetry_Int_Tables_number 1
_cell_length_a 16.6684
_cell_length_b 16.6684
_cell_length_c 16.6684
_cell_angle_alpha 166.35
_cell_angle_beta 166.35
_cell_angle_gamma 19.35
loop_
_symmetry_equiv_pos_as_xyz
'x,y,z'
loop_
_atom_site_label
_atom_site_type_symbol
_atom_site_fract_x
_atom_site_fract_y
_atom_site_fract_z
K1 K 0.2118 0.2118 0.0000
K2 K 0.7882 0.7882 0.0000
La1 La 0.0929 0.0929 0.0000
La2 La 0.9071 0.9071 0.0000
Mg1 Mg 0.0000 0.0000 0.0000
Ti1 Ti 0.3501 0.3501 0.0000
Ti2 Ti 0.5000 0.5000 0.0000
Ti3 Ti 0.6499 0.6499 0.0000
O1 O 0.0000 0.5000 0.5000
O2 O 0.1357 0.6357 0.5000
O3 O 0.2965 0.2965 0.0000
O4 O 0.3643 0.8643 0.5000
O5 O 0.4358 0.4358 0.0000
O6 O 0.5000 0.0000 0.5000
O7 O 0.5642 0.5642 0.0000
O8 O 0.6357 0.1357 0.5000
O9 O 0.7035 0.7035 0.0000
O10 O 0.8643 0.3643 0.5000
```

Peak list (10 most intense, 10° ≤ 2θ ≤ 90°, sorted by position)
- 2θ 10.77, I = 71.9
- 2θ 22.61, I = 30.7
- 2θ 26.27, I = 73.2
- 2θ 29.50, I = 87.7
- 2θ 31.95, I = 100.0
- 2θ 33.37, I = 48.2
- 2θ 37.71, I = 39.5
- 2θ 42.40, I = 35.2
- 2θ 45.81, I = 67.4
- 2θ 55.45, I = 50.9


[3]
The following is a simulated powder X-ray diffraction pattern of UH6Br2O5. It was derived from the GGA-PBE geometry in the Materials Project, using Cu Kα (weighted mean of Kα1 and Kα2).
No peak broadening, texture or thermal motion is included.

Crystal structure
```
data_UH6Br2O5
_symmetry_space_group_name_H-M 'P 1'
_symmetry_Int_Tables_number 1
_cell_length_a 9.9367
_cell_length_b 6.7083
_cell_length_c 12.8882
_cell_angle_alpha 90.00
_cell_angle_beta 91.39
_cell_angle_gamma 90.00
loop_
_symmetry_equiv_pos_as_xyz
'x,y,z'
loop_
_atom_site_label
_atom_site_type_symbol
_atom_site_fract_x
_atom_site_fract_y
_atom_site_fract_z
U1 U 0.2492 0.0846 0.4204
U2 U 0.2492 0.4154 0.9204
U3 U 0.7508 0.5846 0.0796
U4 U 0.7508 0.9154 0.5796
H1 H 0.0432 0.7479 0.4685
H2 H 0.0432 0.7521 0.9685
H3 H 0.0842 0.7119 0.3531
H4 H 0.0842 0.7881 0.8531
H5 H 0.2033 0.7111 0.1149
H6 H 0.2033 0.7889 0.6149
H7 H 0.2568 0.5061 0.1584
H8 H 0.2568 0.9939 0.6584
H9 H 0.3194 0.1484 0.1080
H10 H 0.3194 0.3516 0.6080
H11 H 0.4530 0.2229 0.5838
H12 H 0.4530 0.2771 0.0838
H13 H 0.5470 0.7229 0.9162
H14 H 0.5470 0.7771 0.4162
H15 H 0.6806 0.6484 0.3920
H16 H 0.6806 0.8516 0.8920
H17 H 0.7432 0.0061 0.3416
H18 H 0.7432 0.4939 0.8416
H19 H 0.7967 0.2111 0.3851
H20 H 0.7967 0.2889 0.8851
H21 H 0.9158 0.2119 0.1469
H22 H 0.9158 0.2881 0.6469
H23 H 0.9568 0.2479 0.0315
H24 H 0.9568 0.2521 0.5315
Br1 Br 0.1509 0.0041 0.2071
Br2 Br 0.1509 0.4959 0.7071
Br3 Br 0.3634 0.0948 0.8102
Br4 Br 0.3634 0.4052 0.3102
Br5 Br 0.6366 0.5948 0.6898
Br6 Br 0.6366 0.9052 0.1898
Br7 Br 0.8491 0.5041 0.2929
Br8 Br 0.8491 0.9959 0.7929
O1 O 0.0991 0.2283 0.4467
O2 O 0.0991 0.2717 0.9467
O3 O 0.1178 0.7358 0.9197
O4 O 0.1178 0.7642 0.4197
O5 O 0.2184 0.5708 0.0952
O6 O 0.2184 0.9292 0.5952
O7 O 0.3648 0.2309 0.0555
O8 O 0.3648 0.2691 0.5555
O9 O 0.3997 0.5617 0.9033
O10 O 0.3997 0.9383 0.4033
O11 O 0.6003 0.0617 0.5967
O12 O 0.6003 0.4383 0.0967
O13 O 0.6352 0.7309 0.4445
O14 O 0.6352 0.7691 0.9445
O15 O 0.7816 0.0708 0.4048
O16 O 0.7816 0.4292 0.9048
O17 O 0.8822 0.2358 0.5803
O18 O 0.8822 0.2642 0.0803
O19 O 0.9009 0.7283 0.0533
O20 O 0.9009 0.7717 0.5533
```

Peak list (10 most intense, 10° ≤ 2θ ≤ 90°, sorted by position)
- 2θ 14.89, I = 73.4
- 2θ 15.94, I = 61.2
- 2θ 16.22, I = 46.8
- 2θ 16.58, I = 49.2
- 2θ 17.86, I = 77.2
- 2θ 23.20, I = 100.0
- 2θ 28.90, I = 34.1
- 2θ 37.38, I = 37.0
- 2θ 38.33, I = 31.9
- 2θ 39.16, I = 32.4


[4]
The following is a simulated powder X-ray diffraction pattern of BaZn2P2. It was derived from the GGA-PBE geometry in the Materials Project, using Cu Kα (weighted mean of Kα1 and Kα2).
No peak broadening, texture or thermal motion is included.

Crystal structure
```
data_BaZn2P2
_symmetry_space_group_name_H-M 'P 1'
_symmetry_Int_Tables_number 1
_cell_length_a 7.2504
_cell_length_b 7.2504
_cell_length_c 7.2504
_cell_angle_alpha 147.64
_cell_angle_beta 147.64
_cell_angle_gamma 46.42
loop_
_symmetry_equiv_pos_as_xyz
'x,y,z'
loop_
_atom_site_label
_atom_site_type_symbol
_atom_site_fract_x
_atom_site_fract_y
_atom_site_fract_z
Ba1 Ba 0.0000 0.0000 0.0000
Zn1 Zn 0.2500 0.7500 0.5000
Zn2 Zn 0.7500 0.2500 0.5000
P1 P 0.3598 0.3598 0.0000
P2 P 0.6402 0.6402 0.0000
```

Peak list (10 most intense, 10° ≤ 2θ ≤ 90°, sorted by position)
- 2θ 23.00, I = 32.1
- 2θ 26.76, I = 31.8
- 2θ 29.89, I = 71.6
- 2θ 34.14, I = 100.0
- 2θ 40.54, I = 20.0
- 2θ 44.86, I = 37.0
- 2θ 52.16, I = 39.5
- 2θ 53.00, I = 19.4
- 2θ 54.84, I = 24.5
- 2θ 75.80, I = 18.7


[5]
The following is a simulated powder X-ray diffraction pattern of BaS4O8. It was derived from the GGA-PBE geometry in the Materials Project, using Cu Kα (weighted mean of Kα1 and Kα2).
No peak broadening, texture or thermal motion is included.

Crystal structure
```
data_BaS4O8
_symmetry_space_group_name_H-M 'P 1'
_symmetry_Int_Tables_number 1
_cell_length_a 11.2564
_cell_length_b 8.5917
_cell_length_c 10.9598
_cell_angle_alpha 90.00
_cell_angle_beta 90.00
_cell_angle_gamma 90.00
loop_
_symmetry_equiv_pos_as_xyz
'x,y,z'
loop_
_atom_site_label
_atom_site_type_symbol
_atom_site_fract_x
_atom_site_fract_y
_atom_site_fract_z
Ba1 Ba 0.1529 0.2500 0.1207
Ba2 Ba 0.3471 0.7500 0.6207
Ba3 Ba 0.6529 0.2500 0.3793
Ba4 Ba 0.8471 0.7500 0.8793
S1 S 0.0603 0.0329 0.7025
S2 S 0.0603 0.4671 0.7025
S3 S 0.2055 0.5856 0.9189
S4 S 0.2055 0.9144 0.9189
S5 S 0.2945 0.0856 0.4189
S6 S 0.2945 0.4144 0.4189
S7 S 0.4397 0.5329 0.2025
S8 S 0.4397 0.9671 0.2025
S9 S 0.5603 0.0329 0.7975
S10 S 0.5603 0.4671 0.7975
S11 S 0.7055 0.5856 0.5811
S12 S 0.7055 0.9144 0.5811
S13 S 0.7945 0.0856 0.0811
S14 S 0.7945 0.4144 0.0811
S15 S 0.9397 0.5329 0.2975
S16 S 0.9397 0.9671 0.2975
O1 O 0.0474 0.0655 0.2896
O2 O 0.0474 0.4345 0.2896
O3 O 0.0516 0.2500 0.6850
O4 O 0.1072 0.0359 0.8829
O5 O 0.1072 0.4641 0.8829
O6 O 0.1276 0.7500 0.9599
O7 O 0.1649 0.5498 0.6540
O8 O 0.1649 0.9502 0.6540
O9 O 0.3351 0.0498 0.1540
O10 O 0.3351 0.4502 0.1540
O11 O 0.3724 0.2500 0.4599
O12 O 0.3928 0.5359 0.3829
O13 O 0.3928 0.9641 0.3829
O14 O 0.4484 0.7500 0.1850
O15 O 0.4526 0.5655 0.7896
O16 O 0.4526 0.9345 0.7896
O17 O 0.5474 0.0655 0.2104
O18 O 0.5474 0.4345 0.2104
O19 O 0.5516 0.2500 0.8150
O20 O 0.6072 0.0359 0.6171
O21 O 0.6072 0.4641 0.6171
O22 O 0.6276 0.7500 0.5401
O23 O 0.6649 0.5498 0.8460
O24 O 0.6649 0.9502 0.8460
O25 O 0.8351 0.0498 0.3460
O26 O 0.8351 0.4502 0.3460
O27 O 0.8724 0.2500 0.0401
O28 O 0.8928 0.5359 0.1171
O29 O 0.8928 0.9641 0.1171
O30 O 0.9484 0.7500 0.3150
O31 O 0.9526 0.5655 0.7104
O32 O 0.9526 0.9345 0.7104
```

Peak list (10 most intense, 10° ≤ 2θ ≤ 90°, sorted by position)
- 2θ 11.27, I = 49.6
- 2θ 13.09, I = 100.0
- 2θ 18.85, I = 55.7
- 2θ 20.78, I = 58.5
- 2θ 22.65, I = 31.9
- 2θ 25.09, I = 56.1
- 2θ 26.51, I = 42.1
- 2θ 27.36, I = 78.4
- 2θ 27.55, I = 49.3
- 2θ 30.70, I = 48.1


[6]
The following is a simulated powder X-ray diffraction pattern of Th5Sn4. It was derived from the GGA-PBE geometry in the Materials Project, using Cu Kα (weighted mean of Kα1 and Kα2).
No peak broadening, texture or thermal motion is included.

Crystal structure
```
data_Th5Sn4
_symmetry_space_group_name_H-M 'P 1'
_symmetry_Int_Tables_number 1
_cell_length_a 8.3138
_cell_length_b 15.8491
_cell_length_c 8.4438
_cell_angle_alpha 90.00
_cell_angle_beta 90.00
_cell_angle_gamma 90.00
loop_
_symmetry_equiv_pos_as_xyz
'x,y,z'
loop_
_atom_site_label
_atom_site_type_symbol
_atom_site_fract_x
_atom_site_fract_y
_atom_site_fract_z
Th1 Th 0.0192 0.0992 0.1796
Th2 Th 0.0192 0.4008 0.1796
Th3 Th 0.1278 0.6221 0.3376
Th4 Th 0.1278 0.8779 0.3376
Th5 Th 0.1921 0.2500 0.4982
Th6 Th 0.3079 0.7500 0.9982
Th7 Th 0.3722 0.1221 0.8376
Th8 Th 0.3722 0.3779 0.8376
Th9 Th 0.4808 0.5992 0.6796
Th10 Th 0.4808 0.9008 0.6796
Th11 Th 0.5192 0.0992 0.3204
Th12 Th 0.5192 0.4008 0.3204
Th13 Th 0.6278 0.6221 0.1624
Th14 Th 0.6278 0.8779 0.1624
Th15 Th 0.6921 0.2500 0.0018
Th16 Th 0.8079 0.7500 0.5018
Th17 Th 0.8722 0.1221 0.6624
Th18 Th 0.8722 0.3779 0.6624
Th19 Th 0.9808 0.5992 0.8204
Th20 Th 0.9808 0.9008 0.8204
Sn1 Sn 0.0658 0.2500 0.8885
Sn2 Sn 0.1778 0.7500 0.6403
Sn3 Sn 0.2116 0.0427 0.5329
Sn4 Sn 0.2116 0.4573 0.5329
Sn5 Sn 0.2884 0.5427 0.0329
Sn6 Sn 0.2884 0.9573 0.0329
Sn7 Sn 0.3222 0.2500 0.1403
Sn8 Sn 0.4342 0.7500 0.3885
Sn9 Sn 0.5658 0.2500 0.6115
Sn10 Sn 0.6778 0.7500 0.8597
Sn11 Sn 0.7116 0.0427 0.9671
Sn12 Sn 0.7116 0.4573 0.9671
Sn13 Sn 0.7884 0.5427 0.4671
Sn14 Sn 0.7884 0.9573 0.4671
Sn15 Sn 0.8222 0.2500 0.3597
Sn16 Sn 0.9342 0.7500 0.1115
```

Peak list (10 most intense, 10° ≤ 2θ ≤ 90°, sorted by position)
- 2θ 29.13, I = 100.0
- 2θ 29.31, I = 54.0
- 2θ 30.16, I = 37.0
- 2θ 30.95, I = 47.7
- 2θ 31.18, I = 28.8
- 2θ 32.02, I = 28.9
- 2θ 32.98, I = 50.9
- 2θ 33.94, I = 26.5
- 2θ 34.08, I = 95.8
- 2θ 51.72, I = 25.7


[7]
The following is a simulated powder X-ray diffraction pattern of Ta3Te14Pd3. It was derived from the GGA-PBE geometry in the Materials Project, using Cu Kα (weighted mean of Kα1 and Kα2).
No peak broadening, texture or thermal motion is included.

Crystal structure
```
data_Ta3Te14Pd3
_symmetry_space_group_name_H-M 'P 1'
_symmetry_Int_Tables_number 1
_cell_length_a 14.8246
_cell_length_b 3.7957
_cell_length_c 21.2610
_cell_angle_alpha 90.00
_cell_angle_beta 106.13
_cell_angle_gamma 90.00
loop_
_symmetry_equiv_pos_as_xyz
'x,y,z'
loop_
_atom_site_label
_atom_site_type_symbol
_atom_site_fract_x
_atom_site_fract_y
_atom_site_fract_z
Ta1 Ta 0.0539 0.2500 0.3104
Ta2 Ta 0.3002 0.7500 0.0440
Ta3 Ta 0.4240 0.2500 0.6554
Ta4 Ta 0.5760 0.7500 0.3446
Ta5 Ta 0.6998 0.2500 0.9560
Ta6 Ta 0.9461 0.7500 0.6896
Te1 Te 0.0544 0.2500 0.6395
Te2 Te 0.0539 0.7500 0.2094
Te3 Te 0.1109 0.7500 0.9529
Te4 Te 0.1136 0.2500 0.4531
Te5 Te 0.1397 0.7500 0.7764
Te6 Te 0.1869 0.2500 0.0899
Te7 Te 0.2048 0.7500 0.3462
Te8 Te 0.2771 0.7500 0.6129
Te9 Te 0.3134 0.2500 0.9466
Te10 Te 0.3418 0.7500 0.1862
Te11 Te 0.3831 0.2500 0.7702
Te12 Te 0.3882 0.2500 0.5129
Te13 Te 0.4403 0.2500 0.3475
Te14 Te 0.4494 0.2500 0.0874
Te15 Te 0.5506 0.7500 0.9126
Te16 Te 0.5597 0.7500 0.6525
Te17 Te 0.6118 0.7500 0.4871
Te18 Te 0.6169 0.7500 0.2298
Te19 Te 0.6582 0.2500 0.8138
Te20 Te 0.6866 0.7500 0.0534
Te21 Te 0.7229 0.2500 0.3871
Te22 Te 0.7952 0.2500 0.6538
Te23 Te 0.8131 0.7500 0.9101
Te24 Te 0.8603 0.2500 0.2236
Te25 Te 0.8864 0.7500 0.5469
Te26 Te 0.8891 0.2500 0.0471
Te27 Te 0.9461 0.2500 0.7906
Te28 Te 0.9456 0.7500 0.3605
Pd1 Pd 0.1290 0.2500 0.8653
Pd2 Pd 0.2511 0.7500 0.4811
Pd3 Pd 0.4811 0.2500 0.2274
Pd4 Pd 0.5189 0.7500 0.7726
Pd5 Pd 0.7489 0.2500 0.5189
Pd6 Pd 0.8710 0.7500 0.1347
```

Peak list (10 most intense, 10° ≤ 2θ ≤ 90°, sorted by position)
- 2θ 13.03, I = 100.0
- 2θ 29.91, I = 23.8
- 2θ 30.15, I = 30.0
- 2θ 30.66, I = 26.7
- 2θ 31.23, I = 33.3
- 2θ 31.60, I = 19.7
- 2θ 36.57, I = 22.8
- 2θ 38.94, I = 17.2
- 2θ 43.74, I = 21.3
- 2θ 47.93, I = 23.7